The following is a theoretical powder X-ray diffraction pattern of RbI3Br. It was derived from DFT lattice parameters and positions (PBE), using Cu Kα, 1.54184 Å.
Intensities are scaled so that the largest is 100.

Structure:
Cell lengths 8.8387, 8.8387, 8.8387 Å; angles 120.68, 120.68, 88.83 degrees
Fractional coordinates of all 10 atoms:
Rb 0.2500 0.7500 0.5000
Rb 0.7500 0.2500 0.5000
I 0.2203 0.2203 0.0000
I 0.2703 0.2703 0.5407
I 0.2703 0.7297 0.0000
I 0.7297 0.2703 0.0000
I 0.7297 0.7297 0.4593
I 0.7797 0.7797 0.0000
Br 0.0000 0.0000 0.0000
Br 0.5000 0.5000 0.0000

Peak list (12 most intense, 2θ from 10° to 90°, by angle)
Position (°2θ)	intensity
14.0	12
14.3	22
24.8	100
28.3	35
28.9	72
40.8	48
41.3	25
43.0	10
48.0	13
48.7	26
50.8	24
75.0	12